Structure and theoretical powder diffractogram of La2ZnRh2 (the GGA-PBE geometry in Alexandria; CuKα).
Intensities are scaled so that the largest is 100.

Top 10 peaks for 15 to 90 degrees two-theta, by intensity:
2θ 36.77, I 100, (4 0 -2); 2θ 33.84, I 89, (2 0 2); 2θ 36.89, I 78, (4 0 0); 2θ 34.02, I 69, (0 2 1); 2θ 36.99, I 65, (2 2 -1); 2θ 40.63, I 61, (2 2 1); 2θ 24.41, I 50, (2 0 -2); 2θ 53.87, I 41, (4 2 -3); 2θ 64.01, I 33, (6 2 -1); 2θ 47.72, I 29, (1 1 -4)

Cell and atoms:
```
data_La2ZnRh2
_chemical_formula_sum 'La8 Zn4 Rh8'
_space_group_name_H-M_alt 'C 1 2/c 1'
_space_group_IT_number 15
_cell_length_a 10.276
_cell_length_b 5.605
_cell_length_c 8.169
_cell_angle_alpha 90.00
_cell_angle_beta 108.46
_cell_angle_gamma 90.00
loop_
_space_group_symop_operation_xyz
'x,y,z'
'-x,-y,-z'
'-x,y,-z+1/2'
'x,-y,z+1/2'
'x+1/2,y+1/2,z'
'-x+1/2,-y+1/2,-z'
'-x+1/2,y+1/2,-z+1/2'
'x+1/2,-y+1/2,z+1/2'
loop_
_atom_site_label
_atom_site_type_symbol
_atom_site_fract_x
_atom_site_fract_y
_atom_site_fract_z
La1 La 0.147 0.151 0.150
Zn1 Zn 0.000 0.367 0.750
Rh1 Rh 0.132 0.354 0.522
```